The following is a simulated XRD peak list of TaInCuNi. It was derived from the GGA-PBE geometry in Alexandria, using a wavelength of 1.5418 Å.
Peak positions follow from Bragg's law for the DFT cell and can differ from measured ones.

Peak list (8 most intense, 2θ = 10–90°, low angle first)
24.70°, d = 3.604 Å, rel. 4.9, hkl 1 1 1
28.60°, d = 3.121 Å, rel. 18.0, hkl 2 0 0
40.89°, d = 2.207 Å, rel. 100.0, hkl 2 2 0
50.66°, d = 1.802 Å, rel. 5.2, hkl 2 2 2
59.21°, d = 1.560 Å, rel. 16.3, hkl 4 0 0
67.06°, d = 1.396 Å, rel. 7.0, hkl 4 2 0
74.47°, d = 1.274 Å, rel. 32.6, hkl 4 2 2
88.64°, d = 1.103 Å, rel. 10.6, hkl 4 4 0

Structural model:
```
TaInCuNi
1.0
6.242 0.000 0.000
0.000 6.242 0.000
0.000 0.000 6.242
Ta In Cu Ni
4 4 4 4
Cartesian
0.000 0.000 0.000
0.000 3.121 3.121
3.121 0.000 3.121
3.121 3.121 0.000
0.000 0.000 3.121
0.000 3.121 0.000
3.121 0.000 0.000
3.121 3.121 3.121
1.560 1.560 1.560
1.560 4.681 4.681
4.681 1.560 4.681
4.681 4.681 1.560
1.560 1.560 4.681
1.560 4.681 1.560
4.681 1.560 1.560
4.681 4.681 4.681
```